The following is a calculated powder XRD pattern of ZnPd2. It was derived from a PBE-relaxed structure, using Cu Kα (weighted mean of Kα1 and Kα2).
Lines closer than 0.1° are merged.

Main lines, sorted by position (2θ from 10° to 80°):
hkl, 2θ/deg, d (Å), I/Imax
1 0 0, 29.2, 3.062, 2
1 0 1, 30.7, 2.916, 2
1 0 2, 34.8, 2.579, 3
1 0 3, 40.9, 2.208, 100
1 1 0, 41.7, 2.165, 49
0 0 6, 57.8, 1.594, 8
2 0 0, 60.5, 1.531, 16
1 1 6, 73.8, 1.284, 14
2 1 3, 75.6, 1.258, 31
1 0 7, 76.3, 1.248, 2

Atomic structure:
Cell lengths 3.0616, 3.0616, 9.5661 Å; angles 90.00, 90.00, 90.00 degrees
Space group P4/mmm (No. 123)
Unique sites:
Zn 0.0000 0.0000 0.1658
Pd 0.0000 0.0000 0.5000
Pd 0.5000 0.5000 0.0000
Pd 0.5000 0.5000 0.3141

***

The following is a calculated powder XRD pattern of BaLiAlF6. It was derived from a PBE-relaxed structure, using Cu Kα (weighted mean of Kα1 and Kα2).
Lines closer than 0.1° are merged.

Main lines, sorted by position (2θ from 10° to 80°):
hkl, 2θ/deg, d (Å), I/Imax
0 1 1, 13.4, 6.629, 40
1 1 0, 18.5, 4.802, 63
1 2 -1, 26.0, 3.433, 80
0 2 2, 26.9, 3.315, 39
1 1 -2, 27.7, 3.222, 55
1 1 2, 27.9, 3.201, 100
2 0 2, 39.4, 2.290, 32
1 4 -1, 40.1, 2.250, 64
0 3 3, 40.8, 2.210, 30
0 0 4, 41.8, 2.162, 29

Atomic structure:
Cell lengths 5.4248, 10.3210, 8.6493 Å; angles 90.00, 90.35, 90.00 degrees
Space group P2_1/c (No. 14)
Unique sites:
Ba 0.2030 0.1869 0.4955
Li 0.2611 0.5858 0.3249
Al 0.2619 0.5885 0.7313
F 0.0288 0.0103 0.7093
F 0.1118 0.7490 0.7596
F 0.1692 0.6023 0.5320
F 0.3301 0.5893 0.9407
F 0.3899 0.0756 0.2068
F 0.4383 0.1582 0.8025

***

The following is a calculated powder XRD pattern of Mg2Nb2CuO8. It was derived from a PBE-relaxed structure, using Cu Kα (weighted mean of Kα1 and Kα2).
Lines closer than 0.1° are merged.

Main lines, sorted by position (2θ from 10° to 80°):
hkl, 2θ/deg, d (Å), I/Imax
3 1 0, 20.2, 4.395, 69
3 1 -1, 26.4, 3.381, 98
3 1 1, 26.9, 3.313, 60
5 1 0, 27.6, 3.234, 84
5 1 -1, 32.3, 2.773, 100
5 1 1, 33.1, 2.710, 97
0 2 1, 34.3, 2.618, 99
0 0 2, 34.8, 2.581, 52
5 3 0, 51.1, 1.789, 49
8 0 -2, 51.4, 1.779, 86

Atomic structure:
Cell lengths 19.1112, 6.0738, 5.1652 Å; angles 90.00, 91.72, 90.00 degrees
Space group C2/c (No. 15)
Unique sites:
Mg 0.2283 0.1417 0.2478
Nb 0.1156 0.3354 0.7355
Cu 0.0000 0.1513 0.2500
O 0.0564 0.1371 0.5610
O 0.0721 0.3884 0.0689
O 0.1876 0.3979 0.4534
O 0.1913 0.1434 0.8776

***

The following is a calculated powder XRD pattern of H2S. It was derived from a PBE-relaxed structure, using Cu Kα (weighted mean of Kα1 and Kα2).
Lines closer than 0.1° are merged.

Main lines, sorted by position (2θ from 10° to 80°):
hkl, 2θ/deg, d (Å), I/Imax
0 2 2, 27.1, 3.290, 100
2 0 2, 27.3, 3.263, 93
2 2 0, 30.0, 2.979, 68
0 0 4, 34.4, 2.606, 24
0 4 0, 42.6, 2.121, 10
2 2 4, 46.3, 1.962, 34
2 4 2, 51.4, 1.779, 23
4 2 2, 51.8, 1.766, 18
0 4 4, 55.9, 1.645, 10
2 4 6, 74.1, 1.280, 10

Atomic structure:
Cell lengths 8.3696, 8.4853, 10.4253 Å; angles 90.00, 90.00, 90.00 degrees
Space group Ibca (No. 73)
Unique sites:
H 0.0799 0.0884 0.1883
H 0.1604 0.1469 0.4391
S 0.0305 0.0000 0.7500
S 0.2500 0.2433 0.0000

***

The following is a calculated powder XRD pattern of Ti4Fe. It was derived from a PBE-relaxed structure, using Cu Kα (weighted mean of Kα1 and Kα2).
Lines closer than 0.1° are merged.

Main lines, sorted by position (2θ from 10° to 80°):
hkl, 2θ/deg, d (Å), I/Imax
0 0 4, 16.9, 5.256, 5
0 2 0, 39.3, 2.295, 30
1 1 5, 40.0, 2.255, 100
0 0 10, 43.0, 2.102, 15
1 1 7, 45.4, 1.996, 7
2 0 0, 56.0, 1.643, 10
0 2 10, 59.6, 1.550, 10
2 2 0, 70.5, 1.336, 9
1 3 5, 71.6, 1.317, 15
2 0 10, 73.1, 1.295, 5

Atomic structure:
Cell lengths 3.2869, 4.5899, 21.0241 Å; angles 90.00, 90.00, 90.00 degrees
Space group Fmmm (No. 69)
Unique sites:
Ti 0.0000 0.0000 0.0830
Ti 0.0000 0.0000 0.3034
Fe 0.0000 0.0000 0.5000

***

The following is a calculated powder XRD pattern of SmGePt. It was derived from a PBE-relaxed structure, using Cu Kα (weighted mean of Kα1 and Kα2).
Lines closer than 0.1° are merged.

Main lines, sorted by position (2θ from 10° to 80°):
hkl, 2θ/deg, d (Å), I/Imax
1 1 1, 26.3, 3.394, 30
1 1 2, 33.2, 2.697, 26
2 1 1, 34.1, 2.630, 100
3 0 1, 39.3, 2.293, 18
0 2 0, 40.6, 2.221, 75
2 2 2, 54.0, 1.697, 21
3 2 1, 57.8, 1.595, 12
3 1 4, 65.6, 1.423, 16
4 2 0, 66.9, 1.399, 10
5 1 2, 73.3, 1.291, 11

Atomic structure:
Cell lengths 7.2048, 4.4392, 7.7008 Å; angles 90.00, 90.00, 90.00 degrees
Space group Pnma (No. 62)
Unique sites:
Sm 0.0034 0.2500 0.2065
Ge 0.1935 0.2500 0.5882
Pt 0.2041 0.7500 0.4162

***

The following is a calculated powder XRD pattern of NaBeO2. It was derived from a PBE-relaxed structure, using Cu Kα (weighted mean of Kα1 and Kα2).
Lines closer than 0.1° are merged.

Main lines, sorted by position (2θ from 10° to 80°):
hkl, 2θ/deg, d (Å), I/Imax
1 1 -1, 21.9, 4.056, 12
1 1 1, 36.5, 2.461, 8
2 4 -1, 40.4, 2.234, 100
1 3 1, 41.0, 2.202, 64
1 1 -2, 42.1, 2.145, 21
0 8 0, 52.4, 1.746, 13
3 1 0, 54.2, 1.692, 10
1 7 -2, 63.3, 1.469, 19
4 0 -2, 64.0, 1.454, 8
3 7 0, 73.0, 1.296, 11

Atomic structure:
Cell lengths 5.9254, 13.9680, 4.3943 Å; angles 90.00, 120.37, 90.00 degrees
Space group C2/c (No. 15)
Unique sites:
Na 0.0000 0.0692 0.2500
Na 0.0000 0.1913 0.7500
Be 0.0000 0.3546 0.2500
Be 0.0000 0.4858 0.7500
O 0.1617 0.4339 0.1343
O 0.2124 0.2911 0.5793

***

The following is a calculated powder XRD pattern of BiS4N3Cl4. It was derived from a PBE-relaxed structure, using Cu Kα (weighted mean of Kα1 and Kα2).
Lines closer than 0.1° are merged.

Main lines, sorted by position (2θ from 10° to 80°):
hkl, 2θ/deg, d (Å), I/Imax
0 1 0, 10.0, 8.817, 56
0 1 1, 11.0, 8.045, 94
1 -1 0, 15.5, 5.712, 53
1 1 0, 15.7, 5.644, 59
0 1 -1, 16.8, 5.285, 34
0 1 2, 18.5, 4.791, 100
1 2 1, 21.1, 4.218, 44
1 2 2, 23.1, 3.845, 37
1 -1 2, 26.6, 3.353, 42
1 3 2, 29.9, 2.989, 49

Atomic structure:
Cell lengths 7.6241, 9.6388, 9.9088 Å; angles 66.18, 76.77, 85.32 degrees
Space group P-1 (No. 2)
Unique sites:
Bi 0.2464 0.3808 0.0394
S 0.0212 0.8436 0.3488
S 0.2433 0.4065 0.5351
S 0.3069 0.9641 0.7118
S 0.4974 0.1449 0.6286
N 0.0548 0.3249 0.5778
N 0.1140 0.0262 0.6957
N 0.4104 0.3056 0.5670
Cl 0.1167 0.6101 0.7999
Cl 0.1564 0.1877 0.9515
Cl 0.3122 0.1588 0.2956
Cl 0.4137 0.6107 0.1157

***

The following is a calculated powder XRD pattern of CrN2. It was derived from a PBE-relaxed structure, using Cu Kα (weighted mean of Kα1 and Kα2).
Lines closer than 0.1° are merged.

Main lines, sorted by position (2θ from 10° to 80°):
hkl, 2θ/deg, d (Å), I/Imax
3 1 0, 25.5, 3.490, 100
3 1 -1, 29.4, 3.034, 19
3 1 1, 33.5, 2.674, 9
0 0 2, 36.9, 2.436, 11
0 2 1, 37.4, 2.406, 15
3 1 -2, 42.3, 2.135, 14
3 1 2, 48.3, 1.884, 13
6 2 -1, 53.4, 1.716, 13
3 3 -1, 55.9, 1.644, 10
6 2 1, 58.5, 1.578, 17

Atomic structure:
Cell lengths 13.6917, 5.5330, 4.9449 Å; angles 90.00, 99.84, 90.00 degrees
Space group C2/c (No. 15)
Unique sites:
Cr 0.0000 0.0752 0.2500
Cr 0.1693 0.4163 0.7900
N 0.0709 0.1354 0.9653
N 0.0957 0.3613 0.4764
N 0.2437 0.3711 0.1998

***

The following is a calculated powder XRD pattern of KGdCO3F2. It was derived from a PBE-relaxed structure, using Cu Kα (weighted mean of Kα1 and Kα2).
Lines closer than 0.1° are merged.

Main lines, sorted by position (2θ from 10° to 80°):
hkl, 2θ/deg, d (Å), I/Imax
1 0 -1, 15.3, 5.785, 35
0 0 2, 16.1, 5.520, 100
1 -1 1, 17.6, 5.039, 75
1 1 0, 26.5, 3.365, 99
1 -2 1, 27.1, 3.293, 60
1 -1 3, 28.9, 3.086, 53
-1 2 1, 29.4, 3.034, 68
1 0 -4, 32.1, 2.792, 32
0 2 -3, 34.0, 2.634, 49
3 0 -2, 45.6, 1.990, 36

Atomic structure:
Cell lengths 6.6750, 6.6750, 11.5920 Å; angles 99.28, 99.28, 116.09 degrees
Space group P1 (No. 1)
Unique sites:
K 0.0000 0.0000 0.0000
K 0.0852 0.5799 0.1729
K 0.2499 0.7470 0.4981
K 0.8451 0.8401 0.6692
Gd 0.2365 0.5930 0.8332
Gd 0.4909 0.3522 0.3328
Gd 0.6028 0.2328 0.8396
Gd 0.8526 0.9829 0.3395
C 0.2989 0.2986 0.5899
C 0.5475 0.5322 0.0793
C 0.5527 0.0463 0.0881
C 0.8042 0.2885 0.5818
O 0.1158 0.1130 0.5326
O 0.3571 0.8498 0.0326
O 0.3616 0.3618 0.7121
O 0.4235 0.4087 0.1365
O 0.4299 0.4201 0.5372
O 0.4804 0.4721 0.9604
O 0.6149 0.1013 0.2145
O 0.6606 0.1601 0.6410
O 0.6794 0.1805 0.0325
O 0.7302 0.7283 0.1412
O 0.7367 0.2369 0.4621
O 0.9805 0.4750 0.6343
F 0.1242 0.3234 0.3081
F 0.1935 0.9754 0.3047
F 0.2348 0.9350 0.8007
F 0.5231 0.7193 0.3653
F 0.5730 0.8516 0.8027
F 0.8568 0.6378 0.3719
F 0.8981 0.6051 0.8659
F 0.9778 0.2666 0.8721

***

Q: What is the formula in the second record?
A: BaLiAlF6

***

Q: Which formula does entry 8 have?
A: BiS4N3Cl4

***

Repeat the second record exactly.
The following is a calculated powder XRD pattern of BaLiAlF6. It was derived from a PBE-relaxed structure, using Cu Kα (weighted mean of Kα1 and Kα2).
Lines closer than 0.1° are merged.

Main lines, sorted by position (2θ from 10° to 80°):
hkl, 2θ/deg, d (Å), I/Imax
0 1 1, 13.4, 6.629, 40
1 1 0, 18.5, 4.802, 63
1 2 -1, 26.0, 3.433, 80
0 2 2, 26.9, 3.315, 39
1 1 -2, 27.7, 3.222, 55
1 1 2, 27.9, 3.201, 100
2 0 2, 39.4, 2.290, 32
1 4 -1, 40.1, 2.250, 64
0 3 3, 40.8, 2.210, 30
0 0 4, 41.8, 2.162, 29

Atomic structure:
Cell lengths 5.4248, 10.3210, 8.6493 Å; angles 90.00, 90.35, 90.00 degrees
Space group P2_1/c (No. 14)
Unique sites:
Ba 0.2030 0.1869 0.4955
Li 0.2611 0.5858 0.3249
Al 0.2619 0.5885 0.7313
F 0.0288 0.0103 0.7093
F 0.1118 0.7490 0.7596
F 0.1692 0.6023 0.5320
F 0.3301 0.5893 0.9407
F 0.3899 0.0756 0.2068
F 0.4383 0.1582 0.8025